[1]
Structure and theoretical powder X-ray diffraction pattern of Na2In5Ga (a PBE-relaxed structure; λ = 1.5418 Å (Cu Kα)).

Main lines, by angle (10 to 90 degrees two-theta):
d/Å  I_rel
5.470  610
4.271  183
3.056  322
2.898  1000
2.735  390
2.416  443
2.278  192
2.038  201
1.811  362
1.609  190

```
Na2In5Ga
1.0
6.834 0.000 0.000
0.000 6.834 0.000
0.000 0.000 5.470
Na In Ga
2 5 1
Cartesian
0.000 3.417 0.000 Na
3.417 0.000 0.000 Na
0.000 0.000 0.000 In
1.928 1.928 2.735 In
1.928 4.907 2.735 In
4.907 1.928 2.735 In
4.907 4.907 2.735 In
0.000 0.000 2.735 Ga
```

[2]
Structure and theoretical powder X-ray diffraction pattern of Cs5Se2S12 (a PBE-relaxed structure; λ = 1.5418 Å (Cu Kα)).

Main lines, by angle (10 to 90 degrees two-theta):
d/Å  I_rel
8.755  618
8.631  368
6.560  358
4.929  687
4.162  447
3.955  1000
3.369  556
3.248  652
3.153  358
3.050  326

```
Cs5Se2S12
1.0
8.735 0.000 0.000
-0.619 9.858 0.000
-1.059 -4.877 9.569
Cs Se S
5 2 12
Cartesian
0.000 0.000 0.000 Cs
-0.450 -0.043 5.116 Cs
2.833 5.171 2.220 Cs
4.225 -0.190 7.348 Cs
7.508 5.024 4.452 Cs
0.723 -1.189 8.494 Se
6.336 6.170 1.074 Se
-0.563 0.482 9.025 S
0.558 2.437 2.707 S
0.479 7.710 2.771 S
2.258 1.987 3.757 S
2.734 -1.352 3.740 S
3.342 0.429 2.859 S
3.716 4.552 6.710 S
4.324 6.333 5.828 S
4.800 2.994 5.811 S
6.579 -2.729 6.798 S
6.500 2.544 6.862 S
7.621 4.499 0.544 S
```

[3]
Structure and theoretical powder X-ray diffraction pattern of KGaCl4 (a PBE-relaxed structure; λ = 1.5418 Å (Cu Kα)).

Main lines, by angle (10 to 90 degrees two-theta):
d/Å  I_rel
6.350  216
5.061  1000
3.958  441
3.543  266
3.175  307
2.530  200
2.518  521
2.059  253
1.953  142
1.515  127

```
KGaCl4
1.0
-5.061 5.061 4.077
5.061 -5.061 4.077
5.061 5.061 -4.077
K Ga Cl
2 2 8
Cartesian
5.061 2.530 1.019 K
0.000 2.530 3.058 K
5.061 -2.530 3.058 Ga
0.000 7.591 1.019 Ga
5.061 -0.769 1.730 Cl
5.061 4.292 -1.730 Cl
1.761 2.530 0.309 Cl
3.299 -2.530 4.386 Cl
1.761 7.591 -0.309 Cl
3.299 2.530 3.768 Cl
0.000 0.769 5.807 Cl
0.000 5.830 2.347 Cl
```

[4]
Structure and theoretical powder X-ray diffraction pattern of Rb2HoAgBr6 (a PBE-relaxed structure; λ = 1.5418 Å (Cu Kα)).

Main lines, by angle (10 to 90 degrees two-theta):
d/Å  I_rel
5.632  581
5.514  258
3.938  786
2.816  1000
2.757  568
2.547  282
2.275  385
2.268  199
1.972  277
1.967  335

```
Rb2HoAgBr6
1.0
7.860 0.000 0.000
0.000 8.075 0.000
-7.824 0.000 11.029
Rb Ho Ag Br
4 2 2 12
Cartesian
-0.121 0.481 2.747 Rb
-4.033 3.557 8.262 Rb
4.069 4.519 2.767 Rb
0.157 7.594 8.282 Rb
3.930 0.000 0.000 Ho
0.018 4.038 5.514 Ho
-3.912 0.000 5.514 Ag
0.000 4.038 0.000 Ag
-6.140 1.616 10.605 Br
-2.228 2.422 5.090 Br
-5.454 5.781 10.623 Br
-1.542 6.332 5.109 Br
-3.311 0.090 8.291 Br
0.601 3.948 2.776 Br
-0.565 4.127 8.252 Br
3.347 7.985 2.738 Br
1.578 1.743 5.920 Br
5.490 2.295 0.406 Br
2.264 5.653 5.939 Br
6.176 6.459 0.424 Br
```